# Tb2YGa9
Computed powder diffractogram, a wavelength of 1.5418 Å. Input: DFT lattice parameters and positions (PBE).
No peak broadening, texture or thermal motion is included.

Cell and atoms:
```
Tb2YGa9
1.0
4.2839 0.0000 0.0000
0.0000 4.2839 0.0000
0.0000 0.0000 12.8549
Tb Y Ga
2 1 9
Cartesian
0.0000 0.0000 2.1433
0.0000 0.0000 10.7117
0.0000 0.0000 6.4275
0.0000 2.1419 0.0000
0.0000 2.1419 4.2848
0.0000 2.1419 8.5701
2.1419 0.0000 0.0000
2.1419 0.0000 4.2848
2.1419 0.0000 8.5701
2.1419 2.1419 2.1401
2.1419 2.1419 6.4275
2.1419 2.1419 10.7148
```

Main lines, sorted by position (5° ≤ 2θ ≤ 70°):
Position (°2θ)  d (Å)  I (rel.)
6.9  12.855  4
20.7  4.284  9
29.5  3.029  8
36.3  2.474  100
42.2  2.142  49
47.5  1.916  4
52.3  1.749  3
61.2  1.515  32
65.3  1.428  2
69.4  1.355  1



# Tb5YGa6
Computed powder diffractogram, a wavelength of 1.5418 Å. Input: DFT lattice parameters and positions (PBE).
No peak broadening, texture or thermal motion is included.

Cell and atoms:
```
Tb5YGa6
1.0
2.5333 -7.6055 0.0000
2.5333 7.6055 0.0000
0.0000 0.0000 7.1661
Tb Y Ga
5 1 6
Cartesian
0.0000 0.0000 0.0000
2.5333 2.5412 0.0000
2.5333 2.5335 3.5830
2.5333 -2.5412 0.0000
2.5333 -2.5335 3.5830
0.0000 0.0000 3.5830
2.5333 5.0745 1.7953
2.5333 5.0745 5.3708
2.5333 0.0000 1.7929
2.5333 0.0000 5.3732
2.5333 -5.0745 1.7953
2.5333 -5.0745 5.3708
```

Main lines, sorted by position (5° ≤ 2θ ≤ 70°):
Position (°2θ)  d (Å)  I (rel.)
11.6  7.605  1
22.3  3.992  1
24.8  3.584  14
35.4  2.534  100
43.8  2.069  4
51.0  1.792  18
57.5  1.603  6
63.6  1.463  36



# TbY2Ga
Computed powder diffractogram, a wavelength of 1.5418 Å. Input: DFT lattice parameters and positions (PBE).
No peak broadening, texture or thermal motion is included.

Cell and atoms:
```
TbY2Ga
1.0
3.6796 0.0000 0.0000
0.0000 12.8391 0.0000
0.0000 0.0000 9.5936
Tb Y Ga
4 8 4
Cartesian
0.0000 0.7156 2.3984
0.0000 12.1235 7.1952
1.8398 5.7040 7.1952
1.8398 7.1351 2.3984
0.0000 4.6844 0.4706
0.0000 4.6844 4.3262
0.0000 8.1547 5.2674
0.0000 8.1547 9.1230
1.8398 1.7352 5.2674
1.8398 1.7352 9.1230
1.8398 11.1040 0.4706
1.8398 11.1040 4.3262
0.0000 3.2693 7.1952
0.0000 9.5698 2.3984
1.8398 3.1502 2.3984
1.8398 9.6889 7.1952
```

Main lines, sorted by position (5° ≤ 2θ ≤ 70°):
Position (°2θ)  d (Å)  I (rel.)
29.3  3.044  26
31.2  2.862  53
31.4  2.847  100
32.1  2.790  44
33.4  2.679  83
33.6  2.668  42
37.5  2.398  22
49.5  1.840  21
58.4  1.581  27
63.7  1.460  20



# Tb2Y2ZnGa4
Computed powder diffractogram, a wavelength of 1.5418 Å. Input: DFT lattice parameters and positions (PBE).
No peak broadening, texture or thermal motion is included.

Cell and atoms:
```
Tb2Y2ZnGa4
1.0
-3.4907 3.4907 4.3471
3.4907 -3.4907 4.3471
3.4907 3.4907 -4.3471
Tb Y Zn Ga
2 2 1 4
Cartesian
0.0000 0.0000 1.6250
0.0000 0.0000 7.0691
3.4907 0.0000 2.1735
0.0000 3.4907 2.1735
0.0000 0.0000 4.3471
1.7836 1.7836 0.0000
1.7071 -1.7071 4.3471
-1.7071 1.7071 4.3471
1.7071 1.7071 4.3471
```

Main lines, sorted by position (5° ≤ 2θ ≤ 70°):
Position (°2θ)  d (Å)  I (rel.)
18.0  4.937  23
25.5  3.491  19
32.9  2.722  100
33.5  2.677  34
36.4  2.468  72
42.6  2.124  32
52.4  1.745  25
56.4  1.631  15
57.2  1.610  16
63.3  1.469  29



# Tb6ZnGa5
Computed powder diffractogram, a wavelength of 1.5418 Å. Input: DFT lattice parameters and positions (PBE).
No peak broadening, texture or thermal motion is included.

Cell and atoms:
```
Tb6ZnGa5
1.0
2.5422 -7.6254 0.0000
2.5422 7.6254 0.0000
0.0000 0.0000 7.1405
Tb Zn Ga
6 1 5
Cartesian
0.0000 0.0000 1.7847
0.0000 0.0000 5.3558
2.5422 2.5434 1.7774
2.5422 2.5434 5.3631
2.5422 -2.5434 1.7774
2.5422 -2.5434 5.3631
2.5422 0.0000 0.0000
2.5422 5.1349 0.0000
2.5422 5.0822 3.5703
2.5422 0.0000 3.5703
2.5422 -5.0822 3.5703
2.5422 -5.1349 0.0000
```

Main lines, sorted by position (5° ≤ 2θ ≤ 70°):
Position (°2θ)  d (Å)  I (rel.)
24.8  3.595  17
24.9  3.570  8
35.3  2.542  50
35.4  2.533  100
43.7  2.071  8
50.8  1.797  18
51.2  1.785  9
57.4  1.607  7
63.5  1.466  36
63.7  1.461  18



# Tb3ZnGa
Computed powder diffractogram, a wavelength of 1.5418 Å. Input: DFT lattice parameters and positions (PBE).
No peak broadening, texture or thermal motion is included.

Cell and atoms:
```
Tb3ZnGa
1.0
2.5284 -9.8844 0.0000
2.5284 9.8844 0.0000
0.0000 0.0000 5.0526
Tb Zn Ga
6 2 2
Cartesian
2.5284 8.5272 3.7894
2.5284 4.9527 3.7894
2.5284 1.3756 3.7894
2.5284 -1.3756 1.2631
2.5284 -4.9527 1.2631
2.5284 -8.5272 1.2631
2.5284 6.7438 1.2631
2.5284 -6.7438 3.7894
2.5284 3.1784 1.2631
2.5284 -3.1784 3.7894
```

Main lines, sorted by position (5° ≤ 2θ ≤ 70°):
Position (°2θ)  d (Å)  I (rel.)
25.3  3.517  19
27.1  3.295  12
28.4  3.142  8
33.8  2.651  100
35.5  2.527  54
40.7  2.216  10
45.2  2.005  12
51.1  1.787  19
59.4  1.557  10
62.7  1.482  33



# Tb2Zn9Ga3
Computed powder diffractogram, a wavelength of 1.5418 Å. Input: DFT lattice parameters and positions (PBE).
No peak broadening, texture or thermal motion is included.

Cell and atoms:
```
Tb2Zn9Ga3
1.0
6.7180 -3.9548 0.0000
6.7180 3.9548 0.0000
0.0000 0.0000 9.0848
Tb Zn Ga
4 18 6
Cartesian
2.1659 1.2158 2.2712
2.1659 -1.2158 6.8136
11.2700 1.2158 2.2712
11.2700 -1.2158 6.8136
4.5756 2.4692 0.8455
4.5756 2.4692 3.6969
6.7180 2.7719 2.2712
6.7180 1.3019 5.1164
6.7180 1.3019 8.5108
8.8603 2.4692 0.8455
8.8603 2.4692 3.6969
5.4235 0.3633 2.2712
5.4235 -0.3633 6.8136
8.0124 0.3633 2.2712
8.0124 -0.3633 6.8136
4.5756 -2.4692 5.3879
4.5756 -2.4692 8.2393
6.7180 -1.3019 0.5740
6.7180 -1.3019 3.9684
6.7180 -2.7719 6.8136
8.8603 -2.4692 5.3879
8.8603 -2.4692 8.2393
0.0000 0.0000 0.0000
0.0000 0.0000 4.5424
4.1611 0.0000 0.0000
4.1611 0.0000 4.5424
9.2748 0.0000 0.0000
9.2748 0.0000 4.5424
```

Main lines, sorted by position (5° ≤ 2θ ≤ 70°):
Position (°2θ)  d (Å)  I (rel.)
28.0  3.191  14
30.2  2.958  18
33.2  2.701  18
36.5  2.464  19
37.4  2.404  42
37.6  2.391  100
39.7  2.272  85
40.1  2.248  25
40.3  2.239  32
40.6  2.220  21



# Tb2Zn5Ga3
Computed powder diffractogram, a wavelength of 1.5418 Å. Input: DFT lattice parameters and positions (PBE).
No peak broadening, texture or thermal motion is included.

Cell and atoms:
```
Tb2Zn5Ga3
1.0
4.1701 0.0000 0.0000
0.0000 4.1701 0.0000
0.0000 0.0000 10.6301
Tb Zn Ga
2 5 3
Cartesian
0.0000 2.0850 2.6519
2.0850 0.0000 7.9782
0.0000 0.0000 5.3151
0.0000 2.0850 6.7085
2.0850 0.0000 3.9216
2.0850 2.0850 0.0000
2.0850 2.0850 5.3151
0.0000 0.0000 0.0000
0.0000 2.0850 9.1123
2.0850 0.0000 1.5178
```

Main lines, sorted by position (5° ≤ 2θ ≤ 70°):
Position (°2θ)  d (Å)  I (rel.)
30.3  2.949  17
33.2  2.700  59
33.7  2.658  7
34.8  2.578  100
43.4  2.085  51
48.0  1.894  32
55.7  1.650  27
61.0  1.519  11
63.1  1.474  16
66.7  1.402  23



# Ga8Tc3
Computed powder diffractogram, a wavelength of 1.5418 Å. Input: DFT lattice parameters and positions (PBE).
No peak broadening, texture or thermal motion is included.

Cell and atoms:
```
Ga8Tc3
1.0
5.8504 0.0000 0.0000
0.0000 5.8504 0.0000
0.0000 0.0000 5.8504
Ga Tc
8 3
Cartesian
1.4090 1.4090 1.4090
1.4090 1.4090 4.4414
1.4090 4.4414 1.4090
1.4090 4.4414 4.4414
4.4414 1.4090 1.4090
4.4414 1.4090 4.4414
4.4414 4.4414 1.4090
4.4414 4.4414 4.4414
0.0000 2.9252 2.9252
2.9252 0.0000 2.9252
2.9252 2.9252 0.0000
```

Main lines, sorted by position (5° ≤ 2θ ≤ 70°):
Position (°2θ)  d (Å)  I (rel.)
15.1  5.850  4
21.5  4.137  8
26.4  3.378  31
30.6  2.925  14
34.3  2.616  9
37.7  2.388  4
43.8  2.068  100
51.8  1.764  14
54.3  1.689  3
63.6  1.463  16



# GaTc8
Computed powder diffractogram, a wavelength of 1.5418 Å. Input: DFT lattice parameters and positions (PBE).
No peak broadening, texture or thermal motion is included.

Cell and atoms:
```
GaTc8
1.0
-1.3928 4.1444 5.7315
1.3928 -4.1444 5.7315
1.3928 4.1444 -5.7315
Ga Tc
1 8
Cartesian
0.0000 0.0000 0.0000
1.3928 1.4384 -1.9596
0.0000 0.0000 3.8062
0.0000 2.8343 0.0000
1.3928 1.4384 1.9596
0.0000 2.7059 3.7718
0.0000 5.4545 0.0000
0.0000 0.0000 7.6567
0.0000 2.7059 7.6911
```

Main lines, sorted by position (5° ≤ 2θ ≤ 70°):
Position (°2θ)  d (Å)  I (rel.)
13.2  6.717  5
15.5  5.731  2
40.1  2.251  100
40.3  2.239  97
46.3  1.962  65
47.6  1.910  30
55.9  1.645  1
67.2  1.393  10
67.8  1.381  10
68.6  1.369  38



# Ga5Tc
Computed powder diffractogram, a wavelength of 1.5418 Å. Input: DFT lattice parameters and positions (PBE).
No peak broadening, texture or thermal motion is included.

Cell and atoms:
```
Ga5Tc
1.0
-3.2600 3.2600 4.9746
3.2600 -3.2600 4.9746
3.2600 3.2600 -4.9746
Ga Tc
10 2
Cartesian
0.0000 0.0000 0.0000
4.2368 0.9768 -1.4641
0.9768 2.2832 -1.4641
4.2368 0.9768 1.4641
0.9768 2.2832 1.4641
0.0000 0.0000 4.9746
2.2832 0.9768 3.5106
-0.9768 2.2832 3.5106
2.2832 0.9768 6.4387
-0.9768 2.2832 6.4387
0.0000 0.0000 2.4873
0.0000 0.0000 7.4619
```

Main lines, sorted by position (5° ≤ 2θ ≤ 70°):
Position (°2θ)  d (Å)  I (rel.)
17.8  4.975  16
19.3  4.610  12
27.4  3.260  7
32.0  2.798  48
39.1  2.305  15
41.2  2.189  100
43.9  2.062  61
45.9  1.977  29
63.8  1.458  10
68.9  1.363  19



# Th4Ga2Tc
Computed powder diffractogram, a wavelength of 1.5418 Å. Input: DFT lattice parameters and positions (PBE).
No peak broadening, texture or thermal motion is included.

Cell and atoms:
```
Th4Ga2Tc
1.0
7.6221 0.0000 0.0000
0.0000 11.8416 0.0000
0.0000 0.0000 4.5329
Th Ga Tc
8 4 2
Cartesian
1.1359 2.4628 0.0000
1.7123 11.1907 2.2665
2.0988 5.2699 2.2665
2.6751 8.3836 0.0000
4.9470 3.4579 0.0000
5.5234 6.5716 2.2665
5.9098 0.6508 2.2665
6.4862 9.3787 0.0000
0.5996 8.1080 2.2665
3.2114 2.1873 2.2665
4.4107 9.6543 2.2665
7.0225 3.7335 2.2665
0.0000 0.0000 0.0000
3.8111 5.9208 0.0000
```

Main lines, sorted by position (5° ≤ 2θ ≤ 70°):
Position (°2θ)  d (Å)  I (rel.)
13.8  6.409  37
24.7  3.599  77
27.4  3.255  74
31.6  2.832  100
32.4  2.760  95
34.3  2.617  88
39.8  2.266  58
44.8  2.024  28
51.9  1.761  39
52.2  1.752  56



# Th3Ga3Tc
Computed powder diffractogram, a wavelength of 1.5418 Å. Input: DFT lattice parameters and positions (PBE).
No peak broadening, texture or thermal motion is included.

Cell and atoms:
```
Th3Ga3Tc
1.0
5.6017 -2.0881 0.0000
5.6017 2.0881 0.0000
-3.9958 0.0000 14.2444
Th Ga Tc
6 6 2
Cartesian
-1.2465 0.0000 5.4680
-2.3679 0.0000 13.1222
1.7591 0.0000 3.3370
5.4486 0.0000 10.9074
9.5756 0.0000 1.1222
8.4541 0.0000 8.7764
1.9358 0.0000 6.6046
0.7796 0.0000 13.2201
2.2478 0.0000 11.0310
4.9598 0.0000 3.2134
6.4280 0.0000 1.0243
5.2719 0.0000 7.6398
0.5337 0.0000 8.9763
6.6739 0.0000 5.2681
```

Main lines, sorted by position (5° ≤ 2θ ≤ 70°):
Position (°2θ)  d (Å)  I (rel.)
23.2  3.831  27
26.0  3.428  26
31.1  2.877  64
32.2  2.784  100
32.4  2.766  77
37.2  2.415  25
37.7  2.387  41
43.3  2.088  40
50.9  1.794  25
62.2  1.492  26